For MgPaMnO6, DFT lattice parameters and positions (GGA+U) gives the computed powder diffraction line list in this record (λ = 1.5418 Å (Cu Kα)).
Neutral-atom scattering factors, no anomalous dispersion.

Structure:
```
data_MgPaMnO6
_chemical_formula_sum 'Mg2 Pa2 Mn2 O12'
_cell_length_a 4.786
_cell_length_b 4.786
_cell_length_c 9.562
_cell_angle_alpha 90.00
_cell_angle_beta 90.00
_cell_angle_gamma 90.00
_space_group_name_H-M_alt 'P 42 n m'
_space_group_IT_number 102
_space_group_name_Hall 'P 4n -2n'
loop_
_atom_site_label
_atom_site_type_symbol
_atom_site_fract_x
_atom_site_fract_y
_atom_site_fract_z
Mg1 Mg 0.000 0.000 0.000
Pa1 Pa 0.000 0.000 0.334
Mn1 Mn 0.000 0.000 0.668
O1 O 0.183 0.183 0.824
O2 O 0.190 0.190 0.517
O3 O 0.213 0.213 0.165
```

Main lines, sorted by position (2θ = 10–90°):
hkl 0 0 2, 18.56°, 4.781 Å, rel. 32; hkl 1 0 1, 20.75°, 4.280 Å, rel. 100; hkl 1 1 0, 26.33°, 3.384 Å, rel. 91; hkl 1 1 2, 32.41°, 2.762 Å, rel. 37; hkl 1 0 3, 33.79°, 2.653 Å, rel. 70; hkl 2 0 0, 37.60°, 2.392 Å, rel. 26; hkl 2 0 2, 42.23°, 2.140 Å, rel. 21; hkl 2 1 1, 43.32°, 2.089 Å, rel. 34; hkl 2 1 3, 51.43°, 1.777 Å, rel. 72; hkl 2 2 0, 54.22°, 1.692 Å, rel. 24; hkl 1 1 6, 64.62°, 1.442 Å, rel. 25; hkl 3 0 3, 65.43°, 1.426 Å, rel. 29